# 1
For Ti5Nb4W2, a DFT-relaxed cell (PBE, Alexandria) gives the calculated powder diffraction line list in this record (Cu Kα, 1.54184 Å).
Peak positions follow from Bragg's law for the DFT cell and can differ from measured ones.

Crystal structure
```
data_Ti5Nb4W2
_chemical_formula_sum 'Ti5 Nb4 W2'
_cell_length_a 2.9210
_cell_length_b 7.5983
_cell_length_c 8.9808
_cell_angle_alpha 80.06
_cell_angle_beta 87.93
_cell_angle_gamma 89.22
_space_group_name_H-M_alt 'P -1'
_space_group_IT_number 2
_space_group_name_Hall '-P 1'
loop_
_atom_site_label
_atom_site_type_symbol
_atom_site_fract_x
_atom_site_fract_y
_atom_site_fract_z
Ti1 Ti 0.0000 0.0000 0.0000
Ti2 Ti 0.2752 0.8744 0.6839
Ti3 Ti 0.2876 0.3305 0.5176
Nb1 Nb 0.3068 0.8188 0.2376
Nb2 Nb 0.3375 0.3295 0.0201
W1 W 0.0112 0.5259 0.7447
```

Peak list (10 most intense, 10° ≤ 2θ ≤ 90°, sorted by position)
- 2θ = 11.82°, intensity 100, (0 1 0)
- 2θ = 20.09°, intensity 29, (0 0 2)
- 2θ = 36.29°, intensity 21, (1 0 2)
- 2θ = 38.25°, intensity 60, (0 3 2)
- 2θ = 38.40°, intensity 64, (-1 1 2)
- 2θ = 38.99°, intensity 65, (1 2 0)
- 2θ = 39.50°, intensity 49, (1 -1 2)
- 2θ = 40.52°, intensity 22, (0 1 4)
- 2θ = 40.83°, intensity 40, (0 0 4)
- 2θ = 44.68°, intensity 31, (0 3 -2)

---

# 2
For LaNdTl2Se4, a DFT-relaxed cell (PBE, Alexandria) gives the calculated powder diffraction line list in this record (Cu Kα, 1.54184 Å).
Peak positions follow from Bragg's law for the DFT cell and can differ from measured ones.

Crystal structure
```
data_LaNdTl2Se4
_chemical_formula_sum 'La1 Nd1 Tl2 Se4'
_cell_length_a 7.5807
_cell_length_b 4.3763
_cell_length_c 8.1257
_cell_angle_alpha 90.00
_cell_angle_beta 108.10
_cell_angle_gamma 90.00
_space_group_name_H-M_alt 'P 1 2/m 1'
_space_group_IT_number 10
_space_group_name_Hall '-P 2y'
loop_
_atom_site_label
_atom_site_type_symbol
_atom_site_fract_x
_atom_site_fract_y
_atom_site_fract_z
La1 La 0.0000 0.0000 0.0000
Nd1 Nd 0.5000 0.5000 0.0000
Tl1 Tl 0.0000 0.5000 0.5000
Tl2 Tl 0.5000 0.0000 0.5000
Se1 Se 0.2405 0.5000 0.2115
Se2 Se 0.2664 0.0000 0.7891
```

Peak list (10 most intense, 10° ≤ 2θ ≤ 90°, sorted by position)
- 2θ = 23.03°, intensity 9, (0 0 2)
- 2θ = 24.71°, intensity 19, (2 0 0)
- 2θ = 28.14°, intensity 100, (1 1 1)
- 2θ = 39.14°, intensity 37, (2 0 2)
- 2θ = 41.26°, intensity 37, (0 2 0)
- 2θ = 50.68°, intensity 20, (4 0 0)
- 2θ = 58.17°, intensity 12, (2 2 2)
- 2θ = 64.34°, intensity 15, (3 1 3)
- 2θ = 67.33°, intensity 17, (1 3 1)
- 2θ = 73.79°, intensity 12, (4 2 -4)

---

# 3
For WC2Br4, a DFT-relaxed cell (PBE, Alexandria) gives the calculated powder diffraction line list in this record (Cu Kα, 1.54184 Å).
Peak positions follow from Bragg's law for the DFT cell and can differ from measured ones.

Crystal structure
```
data_WC2Br4
_chemical_formula_sum 'W2 C4 Br8'
_cell_length_a 5.1205
_cell_length_b 5.1205
_cell_length_c 14.2665
_cell_angle_alpha 90.00
_cell_angle_beta 90.00
_cell_angle_gamma 90.00
_space_group_name_H-M_alt 'I 4/m m m'
_space_group_IT_number 139
_space_group_name_Hall '-I 4 2'
loop_
_atom_site_label
_atom_site_type_symbol
_atom_site_fract_x
_atom_site_fract_y
_atom_site_fract_z
W1 W 0.0000 0.0000 0.0000
C1 C 0.0000 0.0000 0.3105
Br1 Br 0.0000 0.0000 0.1790
Br2 Br 0.0000 0.5000 0.0000
```

Peak list (10 most intense, 10° ≤ 2θ ≤ 90°, sorted by position)
- 2θ = 12.41°, intensity 50, (0 0 2)
- 2θ = 18.41°, intensity 100, (1 0 1)
- 2θ = 24.59°, intensity 18, (1 1 0)
- 2θ = 24.97°, intensity 20, (0 0 4)
- 2θ = 35.05°, intensity 48, (2 0 0)
- 2θ = 36.03°, intensity 27, (1 0 5)
- 2θ = 39.87°, intensity 29, (2 1 1)
- 2θ = 43.51°, intensity 18, (2 0 4)
- 2θ = 51.15°, intensity 21, (2 1 5)
- 2θ = 52.52°, intensity 27, (2 0 6)

---

# 4
For Sm5TmTl4, a DFT-relaxed cell (PBE, Alexandria) gives the calculated powder diffraction line list in this record (Cu Kα, 1.54184 Å).
Peak positions follow from Bragg's law for the DFT cell and can differ from measured ones.

Crystal structure
```
data_Sm5TmTl4
_chemical_formula_sum 'Sm5 Tm1 Tl4'
_cell_length_a 3.6826
_cell_length_b 3.6826
_cell_length_c 21.9018
_cell_angle_alpha 90.00
_cell_angle_beta 90.00
_cell_angle_gamma 90.00
_space_group_name_H-M_alt 'P 4/m m m'
_space_group_IT_number 123
_space_group_name_Hall '-P 4 2'
loop_
_atom_site_label
_atom_site_type_symbol
_atom_site_fract_x
_atom_site_fract_y
_atom_site_fract_z
Sm1 Sm 0.0000 0.0000 0.0000
Sm2 Sm 0.0000 0.0000 0.1949
Sm3 Sm 0.0000 0.0000 0.3884
Tm1 Tm 0.5000 0.5000 0.5000
Tl1 Tl 0.5000 0.5000 0.0974
Tl2 Tl 0.5000 0.5000 0.2919
```

Peak list (10 most intense, 10° ≤ 2θ ≤ 90°, sorted by position)
- 2θ = 31.74°, intensity 100, (1 0 5)
- 2θ = 34.44°, intensity 42, (1 1 0)
- 2θ = 41.22°, intensity 11, (0 0 10)
- 2θ = 49.50°, intensity 15, (2 0 0)
- 2θ = 54.77°, intensity 19, (1 1 10)
- 2θ = 60.01°, intensity 33, (2 1 5)
- 2θ = 66.32°, intensity 11, (2 0 10)
- 2θ = 69.22°, intensity 8, (1 0 15)
- 2θ = 82.91°, intensity 7, (3 1 0)
- 2θ = 89.76°, intensity 8, (2 1 15)

---

# 5
For La2Pm5Pr2, a DFT-relaxed cell (PBE, Alexandria) gives the calculated powder diffraction line list in this record (Cu Kα, 1.54184 Å).
Peak positions follow from Bragg's law for the DFT cell and can differ from measured ones.

Crystal structure
```
data_La2Pm5Pr2
_chemical_formula_sum 'La8 Pm20 Pr8'
_cell_length_a 15.2552
_cell_length_b 12.2057
_cell_length_c 6.9178
_cell_angle_alpha 90.00
_cell_angle_beta 90.00
_cell_angle_gamma 90.00
_space_group_name_H-M_alt 'I m a 2'
_space_group_IT_number 46
_space_group_name_Hall 'I 2 -2a'
loop_
_atom_site_label
_atom_site_type_symbol
_atom_site_fract_x
_atom_site_fract_y
_atom_site_fract_z
La1 La 0.1255 0.0039 0.0000
Pm1 Pm 0.0537 0.7459 0.1457
Pm2 Pm 0.1430 0.2313 0.3258
Pm3 Pm 0.2500 0.7349 0.3537
Pr1 Pr 0.0000 0.0000 0.4636
Pr2 Pr 0.2500 0.0037 0.5324
```

Peak list (10 most intense, 10° ≤ 2θ ≤ 90°, sorted by position)
- 2θ = 27.69°, intensity 84, (4 1 1)
- 2θ = 29.27°, intensity 100, (0 4 0)
- 2θ = 29.69°, intensity 82, (0 2 2)
- 2θ = 30.19°, intensity 62, (5 1 0)
- 2θ = 31.97°, intensity 58, (2 2 2)
- 2θ = 32.15°, intensity 48, (3 1 2)
- 2θ = 34.75°, intensity 64, (4 3 1)
- 2θ = 36.82°, intensity 34, (5 3 0)
- 2θ = 38.48°, intensity 28, (3 3 2)
- 2θ = 57.19°, intensity 25, (8 2 2)

---

# 6
For Li3NpO6, a DFT-relaxed cell (PBE, Alexandria) gives the calculated powder diffraction line list in this record (Cu Kα, 1.54184 Å).
Peak positions follow from Bragg's law for the DFT cell and can differ from measured ones.

Crystal structure
```
data_Li3NpO6
_chemical_formula_sum 'Li6 Np2 O12'
_cell_length_a 5.4598
_cell_length_b 5.7969
_cell_length_c 7.9522
_cell_angle_alpha 90.00
_cell_angle_beta 95.57
_cell_angle_gamma 90.00
_space_group_name_H-M_alt 'P 1 21 1'
_space_group_IT_number 4
_space_group_name_Hall 'P 2yb'
loop_
_atom_site_label
_atom_site_type_symbol
_atom_site_fract_x
_atom_site_fract_y
_atom_site_fract_z
Li1 Li 0.1320 0.0000 0.0117
Li2 Li 0.1587 0.4994 0.2910
Li3 Li 0.2899 0.9989 0.4977
Np1 Np 0.2609 0.4999 0.7285
O1 O 0.0528 0.2589 0.8270
O2 O 0.0536 0.7412 0.8273
O3 O 0.0553 0.5011 0.5230
O4 O 0.4821 0.2523 0.4056
O5 O 0.4837 0.7468 0.4062
O6 O 0.4957 0.9991 0.0917
```

Peak list (10 most intense, 10° ≤ 2θ ≤ 90°, sorted by position)
- 2θ = 18.95°, intensity 100, (0 1 1)
- 2θ = 20.71°, intensity 33, (1 0 1)
- 2θ = 22.44°, intensity 63, (1 1 0)
- 2θ = 30.79°, intensity 32, (1 1 -2)
- 2θ = 33.10°, intensity 15, (1 1 2)
- 2θ = 36.42°, intensity 23, (1 2 -1)
- 2θ = 37.31°, intensity 12, (2 1 -1)
- 2θ = 37.45°, intensity 14, (0 1 3)
- 2θ = 39.34°, intensity 15, (1 0 3)
- 2θ = 53.12°, intensity 15, (2 1 3)